Entry 1:
LiNi9S10: theoretical powder diffraction line list (a wavelength of 1.5418 Å), based on a structure optimized by DFT (PBE).

Atomic structure:
Cell lengths 8.602, 5.998, 11.636 Å; angles 90.00, 115.82, 90.00 degrees
Atoms (fractional coordinates):
Li1 0.000 0.000 0.000
Li2 0.000 0.500 0.500
Ni1 0.094 0.005 0.403
Ni2 0.094 0.495 0.903
Ni3 0.201 0.007 0.806
Ni4 0.201 0.493 0.306
Ni5 0.293 0.501 0.701
Ni6 0.293 0.999 0.201
Ni7 0.409 0.002 0.598
Ni8 0.409 0.498 0.098
Ni9 0.500 0.000 0.000
Ni10 0.500 0.500 0.500
Ni11 0.591 0.502 0.902
Ni12 0.591 0.998 0.402
Ni13 0.707 0.001 0.799
Ni14 0.707 0.499 0.299
Ni15 0.799 0.507 0.694
Ni16 0.799 0.993 0.194
Ni17 0.906 0.505 0.097
Ni18 0.906 0.995 0.597
S1 0.057 0.171 0.211
S2 0.057 0.329 0.711
S3 0.163 0.653 0.107
S4 0.163 0.847 0.607
S5 0.267 0.164 0.011
S6 0.267 0.336 0.511
S7 0.335 0.664 0.895
S8 0.335 0.836 0.395
S9 0.454 0.176 0.806
S10 0.454 0.324 0.306
S11 0.546 0.676 0.694
S12 0.546 0.824 0.194
S13 0.665 0.164 0.605
S14 0.665 0.336 0.105
S15 0.733 0.664 0.489
S16 0.733 0.836 0.989
S17 0.837 0.153 0.393
S18 0.837 0.347 0.893
S19 0.943 0.671 0.289
S20 0.943 0.829 0.789

Principal peaks in the range 15 to 90 degrees two-theta, in order of rising 2θ:
| Position (°2θ) | Rel. int. |
| --- | --- |
| 29.8 | 52.7 |
| 29.9 | 100.0 |
| 34.4 | 62.3 |
| 34.7 | 30.7 |
| 45.9 | 92.9 |
| 46.0 | 91.9 |
| 46.4 | 90.0 |
| 53.0 | 86.0 |
| 53.2 | 41.6 |
| 72.7 | 21.4 |

Entry 2:
LiNi2S4: theoretical powder diffraction line list (a wavelength of 1.5418 Å), based on a structure optimized by DFT (PBE).

Atomic structure:
Cell lengths 6.840, 6.840, 6.840 Å; angles 60.00, 60.00, 60.00 degrees
Atoms (fractional coordinates):
Li1 0.125 0.125 0.125
Li2 0.875 0.875 0.875
Ni1 0.000 0.500 0.500
Ni2 0.500 0.000 0.500
Ni3 0.500 0.500 0.000
Ni4 0.500 0.500 0.500
S1 0.265 0.265 0.265
S2 0.265 0.265 0.706
S3 0.265 0.706 0.265
S4 0.294 0.735 0.735
S5 0.706 0.265 0.265
S6 0.735 0.294 0.735
S7 0.735 0.735 0.294
S8 0.735 0.735 0.735

Principal peaks in the range 15 to 90 degrees two-theta, in order of rising 2θ:
| Position (°2θ) | Rel. int. |
| --- | --- |
| 15.9 | 100.0 |
| 30.7 | 35.3 |
| 37.2 | 81.2 |
| 48.9 | 27.3 |
| 53.6 | 52.5 |
| 56.3 | 17.8 |
| 67.0 | 14.6 |
| 69.4 | 11.3 |
| 75.5 | 6.5 |
| 79.2 | 6.8 |

Entry 3:
LiNi2S4: theoretical powder diffraction line list (a wavelength of 1.5418 Å), based on a structure optimized by DFT (PBE).

Atomic structure:
Cell lengths 6.808, 6.808, 6.407 Å; angles 117.72, 117.72, 91.23 degrees
Atoms (fractional coordinates):
Li1 0.000 0.000 0.000
Li2 0.000 0.000 0.500
Ni1 0.000 0.500 0.000
Ni2 0.385 0.615 0.750
Ni3 0.500 0.000 0.500
Ni4 0.615 0.385 0.250
S1 0.240 0.269 0.003
S2 0.247 0.750 0.481
S3 0.250 0.753 0.019
S4 0.269 0.240 0.503
S5 0.731 0.760 0.497
S6 0.750 0.247 0.981
S7 0.753 0.250 0.519
S8 0.760 0.731 0.997

Principal peaks in the range 15 to 90 degrees two-theta, in order of rising 2θ:
| Position (°2θ) | Rel. int. |
| --- | --- |
| 15.4 | 77.0 |
| 26.1 | 46.7 |
| 26.3 | 45.6 |
| 27.9 | 76.1 |
| 30.1 | 86.7 |
| 30.3 | 100.0 |
| 30.9 | 84.2 |
| 51.4 | 55.2 |
| 53.7 | 90.1 |
| 54.0 | 88.7 |

Entry 4:
LiSiNi2: theoretical powder diffraction line list (a wavelength of 1.5418 Å), based on a structure optimized by DFT (PBE).

Atomic structure:
Cell lengths 3.917, 3.917, 3.917 Å; angles 60.00, 60.00, 60.00 degrees
Atoms (fractional coordinates):
Li1 0.000 0.000 0.000
Si1 0.500 0.500 0.500
Ni1 0.250 0.250 0.250
Ni2 0.750 0.750 0.750

Principal peaks in the range 15 to 90 degrees two-theta, in order of rising 2θ:
| Position (°2θ) | Rel. int. |
| --- | --- |
| 27.9 | 6.0 |
| 32.3 | 49.5 |
| 46.4 | 100.0 |
| 55.0 | 2.4 |
| 57.7 | 11.4 |
| 67.7 | 15.0 |
| 74.7 | 1.0 |
| 77.0 | 13.2 |
| 86.0 | 30.2 |

Entry 5:
LiNp3: theoretical powder diffraction line list (a wavelength of 1.5418 Å), based on a structure optimized by DFT (PBE).

Atomic structure:
Cell lengths 4.476, 4.476, 4.476 Å; angles 119.90, 119.90, 90.18 degrees
Atoms (fractional coordinates):
Li1 0.000 0.000 0.000
Np1 0.250 0.750 0.500
Np2 0.500 0.500 0.000
Np3 0.750 0.250 0.500

Principal peaks in the range 15 to 90 degrees two-theta, in order of rising 2θ:
| Position (°2θ) | Rel. int. |
| --- | --- |
| 24.3 | 25.3 |
| 28.2 | 13.3 |
| 40.3 | 100.0 |
| 47.6 | 8.8 |
| 58.2 | 11.7 |
| 58.4 | 5.8 |
| 64.1 | 5.5 |
| 73.2 | 24.1 |
| 73.3 | 12.0 |
| 87.1 | 8.0 |

Entry 6:
LiNpRu2: theoretical powder diffraction line list (a wavelength of 1.5418 Å), based on a structure optimized by DFT (PBE).

Atomic structure:
Cell lengths 4.468, 4.468, 4.468 Å; angles 60.00, 60.00, 60.00 degrees
Atoms (fractional coordinates):
Li1 0.000 0.000 0.000
Np1 0.500 0.500 0.500
Ru1 0.250 0.250 0.250
Ru2 0.750 0.750 0.750

Principal peaks in the range 15 to 90 degrees two-theta, in order of rising 2θ:
| Position (°2θ) | Rel. int. |
| --- | --- |
| 24.4 | 63.6 |
| 40.4 | 100.0 |
| 47.7 | 32.9 |
| 58.4 | 17.0 |
| 64.3 | 13.8 |
| 73.4 | 34.5 |
| 78.7 | 10.6 |
| 87.3 | 11.3 |

Entry 7:
LiO8: theoretical powder diffraction line list (a wavelength of 1.5418 Å), based on a structure optimized by DFT (PBE).

Atomic structure:
Cell lengths 5.087, 5.087, 5.022 Å; angles 118.33, 118.33, 73.63 degrees
Atoms (fractional coordinates):
Li1 0.000 0.000 0.000
O1 0.076 0.046 0.655
O2 0.434 0.459 0.348
O3 0.484 0.011 0.340
O4 0.541 0.566 0.652
O5 0.585 0.129 0.650
O6 0.871 0.415 0.350
O7 0.954 0.924 0.345
O8 0.989 0.516 0.660

Principal peaks in the range 15 to 90 degrees two-theta, in order of rising 2θ:
| Position (°2θ) | Rel. int. |
| --- | --- |
| 19.9 | 11.4 |
| 22.0 | 100.0 |
| 36.3 | 34.9 |
| 37.3 | 94.7 |
| 40.4 | 56.7 |
| 41.6 | 9.2 |
| 45.7 | 9.0 |
| 46.2 | 10.8 |
| 46.9 | 11.7 |
| 60.8 | 12.2 |